Simulated powder diffractogram
Compound: LiPaCdGa
Radiation: a wavelength of 1.5418 Å
Structure: a structure optimized by DFT (GGA-PBE)
Neutral-atom scattering factors, no anomalous dispersion.

Structure:
Cell lengths 4.961, 4.961, 4.961 Å; angles 60.00, 60.00, 60.00 degrees
Fractional coordinates of all 4 atoms:
Li 0.000 0.000 0.000
Pa 0.500 0.500 0.500
Cd 0.750 0.750 0.750
Ga 0.250 0.250 0.250

Most intense lines, 10° ≤ 2θ ≤ 90°, by intensity:
2θ (°)	I/Imax
36.21	100
21.94	67
42.74	37
65.13	36
52.14	18
88.04	16
57.23	16
81.09	12
69.63	12
76.86	11

Simulated powder diffractogram
Compound: Pr2PuCl8
Radiation: a wavelength of 1.5418 Å
Structure: a structure optimized by DFT (GGA-PBE)
Neutral-atom scattering factors, no anomalous dispersion.

Structure:
Cell lengths 7.611, 7.611, 5.488 Å; angles 98.45, 98.45, 111.31 degrees
Fractional coordinates of all 11 atoms:
Pr 0.183 0.817 0.000
Pr 0.817 0.183 0.000
Pu 0.500 0.500 0.500
Cl 0.131 0.131 0.312
Cl 0.176 0.435 0.912
Cl 0.266 0.734 0.500
Cl 0.435 0.176 0.912
Cl 0.565 0.824 0.088
Cl 0.734 0.266 0.500
Cl 0.824 0.565 0.088
Cl 0.869 0.869 0.688

Most intense lines, 10° ≤ 2θ ≤ 90°, by intensity:
2θ (°)	I/Imax
33.17	100
21.94	82
18.75	74
23.80	69
33.86	65
21.43	65
39.04	52
23.26	45
39.97	44
35.13	28

Simulated powder diffractogram
Compound: Bi5B2O12
Radiation: a wavelength of 1.5418 Å
Structure: a structure optimized by DFT (GGA-PBE)
Neutral-atom scattering factors, no anomalous dispersion.

Structure:
Cell lengths 6.759, 6.759, 7.333 Å; angles 108.16, 108.16, 54.97 degrees
Fractional coordinates of all 19 atoms:
Bi 0.000 0.000 0.000
Bi 0.320 0.320 0.670
Bi 0.328 0.328 0.185
Bi 0.672 0.672 0.815
Bi 0.680 0.680 0.330
B 0.164 0.836 0.500
B 0.836 0.164 0.500
O 0.005 0.005 0.656
O 0.058 0.594 0.897
O 0.168 0.606 0.448
O 0.394 0.832 0.552
O 0.406 0.942 0.103
O 0.495 0.495 0.161
O 0.505 0.505 0.839
O 0.594 0.058 0.897
O 0.606 0.168 0.448
O 0.832 0.394 0.552
O 0.942 0.406 0.103
O 0.995 0.995 0.344

Most intense lines, 10° ≤ 2θ ≤ 90°, by intensity:
2θ (°)	I/Imax
27.80	100
28.26	95
28.62	41
44.54	30
45.90	29
33.39	22
35.11	22
58.40	21
50.47	20
50.19	20

Simulated powder diffractogram
Compound: Rb2GaSn7
Radiation: a wavelength of 1.5418 Å
Structure: a structure optimized by DFT (GGA-PBE)
Neutral-atom scattering factors, no anomalous dispersion.

Structure:
Cell lengths 5.296, 5.296, 12.030 Å; angles 90.00, 90.00, 90.00 degrees
Fractional coordinates of all 10 atoms:
Rb 0.000 0.500 0.244
Rb 0.500 0.000 0.756
Ga 0.500 0.500 0.000
Sn 0.000 0.000 0.000
Sn 0.000 0.000 0.500
Sn 0.000 0.500 0.628
Sn 0.000 0.500 0.885
Sn 0.500 0.000 0.115
Sn 0.500 0.000 0.372
Sn 0.500 0.500 0.500

Most intense lines, 10° ≤ 2θ ≤ 90°, by intensity:
2θ (°)	I/Imax
33.85	100
28.07	94
27.91	79
38.39	66
44.42	45
57.06	37
48.63	37
63.59	32
14.73	25
51.72	23